[1]
Starting from a PBE-relaxed structure, the X-ray powder pattern of La2TiZnO6 was computed for CuKα.
No peak broadening, texture or thermal motion is included.

Largest 10 diffraction maxima, in order of rising 2θ, 10° ≤ 2θ ≤ 80°:
d/Å, Position (°2θ), intensity
3.980, 22.3, 29
2.839, 31.5, 96
2.790, 32.1, 100
2.311, 39.0, 21
1.990, 45.6, 57
1.639, 56.1, 25
1.629, 56.5, 42
1.602, 57.5, 19
1.395, 67.1, 17
1.252, 76.0, 17

Structural model:
```
data_La2TiZnO6
_chemical_formula_sum 'La2 Ti1 Zn1 O6'
_cell_length_a 5.582
_cell_length_b 5.582
_cell_length_c 5.582
_cell_angle_alpha 61.13
_cell_angle_beta 61.13
_cell_angle_gamma 61.13
_space_group_name_H-M_alt 'P 1'
_space_group_IT_number 1
_space_group_name_Hall 'P 1'
loop_
_atom_site_label
_atom_site_fract_x
_atom_site_fract_y
_atom_site_fract_z
La1 0.250 0.250 0.250
La2 0.750 0.750 0.750
Ti1 0.000 0.000 0.000
Zn1 0.500 0.500 0.500
O1 0.160 0.764 0.322
O2 0.236 0.678 0.840
O3 0.322 0.160 0.764
O4 0.678 0.840 0.236
O5 0.764 0.322 0.160
O6 0.840 0.236 0.678
```

***

[2]
Starting from a PBE-relaxed structure, the X-ray powder pattern of PmNp2TaO8 was computed for CuKα.
No peak broadening, texture or thermal motion is included.

Largest 10 diffraction maxima, in order of rising 2θ, 10° ≤ 2θ ≤ 80°:
d/Å, Position (°2θ), intensity
3.605, 24.7, 54
3.587, 24.8, 54
2.858, 31.3, 100
2.543, 35.3, 32
1.902, 47.8, 38
1.897, 48.0, 38
1.611, 57.2, 10
1.557, 59.4, 19
1.522, 60.9, 21
1.429, 65.3, 12

Structural model:
```
data_PmNp2TaO8
_chemical_formula_sum 'Pm1 Np2 Ta1 O8'
_cell_length_a 5.086
_cell_length_b 5.086
_cell_length_c 6.909
_cell_angle_alpha 90.00
_cell_angle_beta 90.00
_cell_angle_gamma 90.29
_space_group_name_H-M_alt 'P 1'
_space_group_IT_number 1
_space_group_name_Hall 'P 1'
loop_
_atom_site_label
_atom_site_fract_x
_atom_site_fract_y
_atom_site_fract_z
Pm1 0.000 0.000 0.000
Np1 0.500 0.500 0.258
Np2 0.500 0.500 0.742
Ta1 0.000 0.000 0.500
O1 0.188 0.188 0.284
O2 0.188 0.188 0.716
O3 0.284 0.716 0.500
O4 0.321 0.679 0.000
O5 0.679 0.321 0.000
O6 0.716 0.284 0.500
O7 0.812 0.812 0.284
O8 0.812 0.812 0.716
```

***

[3]
Starting from a PBE-relaxed structure, the X-ray powder pattern of Tm2ZnSn4 was computed for CuKα.
No peak broadening, texture or thermal motion is included.

Largest 10 diffraction maxima, in order of rising 2θ, 10° ≤ 2θ ≤ 80°:
d/Å, Position (°2θ), intensity
3.123, 28.6, 10
3.006, 29.7, 19
2.951, 30.3, 26
2.568, 34.9, 100
2.485, 36.1, 11
2.209, 40.9, 43
1.780, 51.3, 17
1.578, 58.5, 10
1.562, 59.2, 27
1.334, 70.6, 27

Structural model:
```
data_Tm2ZnSn4
_chemical_formula_sum 'Tm2 Zn1 Sn4'
_cell_length_a 4.417
_cell_length_b 4.417
_cell_length_c 9.018
_cell_angle_alpha 90.00
_cell_angle_beta 90.00
_cell_angle_gamma 90.00
_space_group_name_H-M_alt 'P 1'
_space_group_IT_number 1
_space_group_name_Hall 'P 1'
loop_
_atom_site_label
_atom_site_fract_x
_atom_site_fract_y
_atom_site_fract_z
Tm1 0.000 0.500 0.227
Tm2 0.500 0.000 0.773
Zn1 0.500 0.500 0.000
Sn1 0.000 0.000 0.500
Sn2 0.000 0.500 0.824
Sn3 0.500 0.000 0.176
Sn4 0.500 0.500 0.500
```